Calculated powder XRD pattern
Compound: FeTe2O5
Radiation: a wavelength of 1.5418 Å
Structure: a cell relaxed with GGA+U
Intensities are scaled so that the largest is 100.

Unit cell a=7.367 b=11.005 c=6.162 alpha=90.00 beta=90.00 gamma=90.00
Sites, in units of the cell vectors:
Fe: 0.000 0.058 0.250
Fe: 0.000 0.942 0.750
Fe: 0.500 0.442 0.750
Fe: 0.500 0.558 0.250
Te: 0.136 0.346 0.015
Te: 0.136 0.654 0.515
Te: 0.364 0.154 0.515
Te: 0.364 0.846 0.015
Te: 0.636 0.154 0.985
Te: 0.636 0.846 0.485
Te: 0.864 0.346 0.485
Te: 0.864 0.654 0.985
O: 0.000 0.437 0.250
O: 0.000 0.563 0.750
O: 0.144 0.069 0.555
O: 0.144 0.931 0.055
O: 0.193 0.207 0.185
O: 0.193 0.793 0.685
O: 0.307 0.293 0.685
O: 0.307 0.707 0.185
O: 0.356 0.431 0.055
O: 0.356 0.569 0.555
O: 0.500 0.063 0.750
O: 0.500 0.937 0.250
O: 0.644 0.431 0.445
O: 0.644 0.569 0.945
O: 0.693 0.293 0.815
O: 0.693 0.707 0.315
O: 0.807 0.207 0.315
O: 0.807 0.793 0.815
O: 0.856 0.069 0.945
O: 0.856 0.931 0.445

Principal peaks in the range 2θ = 5–70°, low angle first:
(hkl)	d_spacing	intensity
1 2 1	3.585	100.0
1 3 0	3.284	34.9
0 0 2	3.081	13.7
2 1 1	3.039	71.6
0 4 0	2.752	29.4
1 3 2	2.247	16.5
1 2 3	1.862	16.1
2 5 1	1.806	27.8
3 3 2	1.701	18.7
4 0 2	1.581	13.8